For Ba3SrZn2W2O12, a DFT-relaxed cell (GGA+U, Alexandria) gives the calculated powder diffractogram in this record (Cu Kα).

Peak list (6 most intense, 2θ = 10–90°, low angle first)
2θ (°)  I/Imax
30.80  100
44.11  30
54.76  40
64.15  18
72.84  18
89.26  22

Structure:
Lattice parameters (Å, degrees): 10.054 10.054 10.054 33.58 33.58 33.58
Atoms (fractional coordinates):
1 Ba 0.000 0.000 0.000
2 Ba 0.250 0.250 0.250
3 Ba 0.499 0.499 0.499
4 Sr 0.750 0.750 0.750
5 Zn 0.124 0.124 0.124
6 Zn 0.625 0.625 0.625
7 W 0.376 0.376 0.376
8 W 0.874 0.874 0.874
9 O 0.016 0.496 0.496
10 O 0.232 0.755 0.755
11 O 0.256 0.256 0.733
12 O 0.256 0.733 0.256
13 O 0.496 0.016 0.496
14 O 0.496 0.496 0.016
15 O 0.518 0.992 0.992
16 O 0.733 0.256 0.256
17 O 0.755 0.232 0.755
18 O 0.755 0.755 0.232
19 O 0.992 0.518 0.992
20 O 0.992 0.992 0.518